Theoretical powder diffraction line list
Compound: Sm2P3Pd5
Radiation: Cu Kα
Structure: a crystal structure in Alexandria, relaxed with PBE
Peak positions follow from Bragg's law for the DFT cell and can differ from measured ones.

Peak list (8 most intense, 10 to 80 degrees two-theta, in order of rising 2θ)
| d_spacing | Rel. int. |
| --- | --- |
| 2.681 | 31 |
| 2.622 | 34 |
| 2.553 | 100 |
| 2.468 | 97 |
| 2.241 | 28 |
| 2.230 | 25 |
| 2.177 | 30 |
| 2.108 | 52 |

Structural model:
```
Sm2P3Pd5
1.0
2.108 -11.825 0.000
2.108 11.825 0.000
0.000 0.000 7.025
Sm P Pd
4 6 10
Direct
0.024 0.976 0.500 Sm
0.325 0.675 0.470 Sm
0.675 0.325 0.970 Sm
0.976 0.024 0.000 Sm
0.108 0.892 0.804 P
0.272 0.728 0.920 P
0.454 0.546 0.711 P
0.546 0.454 0.211 P
0.728 0.272 0.420 P
0.892 0.108 0.304 P
0.099 0.901 0.157 Pd
0.194 0.806 0.613 Pd
0.226 0.774 0.226 Pd
0.372 0.628 0.922 Pd
0.445 0.555 0.301 Pd
0.555 0.445 0.801 Pd
0.628 0.372 0.422 Pd
0.774 0.226 0.726 Pd
0.806 0.194 0.113 Pd
0.901 0.099 0.657 Pd
```